Structure and computed X-ray diffraction stick pattern of NdGe3Ir5 (the GGA-PBE geometry in Alexandria; λ = 1.5418 Å (Cu Kα)).
No peak broadening, texture or thermal motion is included.

Peak list (12 most intense, 2θ from 10° to 80°, in order of falling intensity)
2θ/deg	I (rel.)
37.14	1000
31.71	977
44.96	804
41.89	747
15.60	507
45.95	446
44.45	439
14.21	438
30.55	392
43.26	384
48.06	369
33.84	360

```
NdGe3Ir5
1.0
2.0164 -6.3808 0.0000
2.0164 6.3808 0.0000
0.0000 0.0000 12.4628
Nd Ge Ir
2 6 10
Direct
0.1723 0.8277 0.7500
0.8277 0.1723 0.2500
0.1162 0.8838 0.2500
0.3852 0.6148 0.0505
0.3852 0.6148 0.4495
0.6148 0.3852 0.5505
0.6148 0.3852 0.9495
0.8838 0.1162 0.7500
0.0000 0.0000 0.0000
0.0000 0.0000 0.5000
0.2017 0.7983 0.0717
0.2017 0.7983 0.4283
0.4423 0.5577 0.6439
0.4423 0.5577 0.8561
0.5577 0.4423 0.1439
0.5577 0.4423 0.3561
0.7983 0.2017 0.5717
0.7983 0.2017 0.9283
```

***

Structure and computed X-ray diffraction stick pattern of Nd2Ge3Ir2 (the GGA-PBE geometry in Alexandria; λ = 1.5418 Å (Cu Kα)).
No peak broadening, texture or thermal motion is included.

Peak list (12 most intense, 2θ from 10° to 80°, in order of falling intensity)
2θ/deg	I (rel.)
32.92	1000
34.61	824
42.36	589
42.55	589
35.81	492
61.60	395
39.40	333
31.87	268
41.05	265
48.01	243
43.56	211
59.22	203

```
Nd2Ge3Ir2
1.0
2.1338 -9.1484 0.0000
2.1338 9.1484 0.0000
0.0000 0.0000 7.1972
Nd Ge Ir
4 6 4
Direct
0.0582 0.9418 0.7500
0.1563 0.8437 0.2500
0.8437 0.1563 0.7500
0.9418 0.0582 0.2500
0.2252 0.7748 0.7500
0.4360 0.5640 0.5654
0.4360 0.5640 0.9346
0.5640 0.4360 0.0654
0.5640 0.4360 0.4346
0.7748 0.2252 0.2500
0.3058 0.6942 0.0522
0.3058 0.6942 0.4478
0.6942 0.3058 0.5522
0.6942 0.3058 0.9478
```